[1]
# LiHfZr2N4
Simulated XRD peak list, copper Kα. Input: a cell relaxed with PBE.

Structural model:
a = 4.519 Å, b = 4.519 Å, c = 9.125 Å
α = 90.00°, β = 90.00°, γ = 90.00°
Fractional coordinates of all 16 atoms:
Li  0.000  0.000  0.000
Li  0.500  0.500  0.500
Hf  0.000  0.000  0.500
Hf  0.500  0.500  0.000
Zr  0.000  0.500  0.250
Zr  0.000  0.500  0.750
Zr  0.500  0.000  0.250
Zr  0.500  0.000  0.750
N  0.000  0.000  0.262
N  0.000  0.000  0.738
N  0.000  0.500  0.000
N  0.000  0.500  0.500
N  0.500  0.000  0.000
N  0.500  0.000  0.500
N  0.500  0.500  0.238
N  0.500  0.500  0.762

Largest 10 diffraction maxima, low angle first, 10 to 90 degrees two-theta:
| 2θ (°) | I/Imax | h k l |
| --- | --- | --- |
| 21.95 | 93 | 1 0 1 |
| 34.26 | 100 | 1 1 2 |
| 35.58 | 25 | 1 0 3 |
| 39.50 | 30 | 0 0 4 |
| 39.90 | 59 | 2 0 0 |
| 46.00 | 27 | 2 1 1 |
| 57.40 | 38 | 2 0 4 |
| 57.70 | 19 | 2 2 0 |
| 68.85 | 28 | 3 1 2 |
| 72.18 | 19 | 2 2 4 |

[2]
# BePb2
Simulated XRD peak list, copper Kα. Input: a cell relaxed with PBE.

Structural model:
a = 6.033 Å, b = 6.067 Å, c = 4.119 Å
α = 90.00°, β = 90.00°, γ = 90.00°
Fractional coordinates of all 6 atoms:
Be  0.000  0.000  0.000
Be  0.500  0.500  0.500
Pb  0.247  0.362  0.000
Pb  0.253  0.862  0.500
Pb  0.747  0.138  0.500
Pb  0.753  0.638  0.000

Largest 10 diffraction maxima, low angle first, 10 to 90 degrees two-theta:
| 2θ (°) | I/Imax | h k l |
| --- | --- | --- |
| 26.15 | 48 | 0 1 1 |
| 29.61 | 43 | 2 0 0 |
| 30.12 | 100 | 1 1 1 |
| 33.05 | 66 | 1 2 0 |
| 39.91 | 36 | 2 1 1 |
| 50.26 | 16 | 0 3 1 |
| 52.86 | 21 | 3 1 1 |
| 53.90 | 17 | 2 0 2 |
| 56.09 | 30 | 1 2 2 |
| 59.42 | 19 | 2 3 1 |

[3]
# SbPd3Au2
Simulated XRD peak list, copper Kα. Input: a cell relaxed with PBE.

Structural model:
a = 4.294 Å, b = 12.659 Å, c = 3.823 Å
α = 90.00°, β = 90.00°, γ = 90.00°
Fractional coordinates of all 12 atoms:
Sb  0.000  0.000  0.000
Sb  0.500  0.500  0.000
Pd  0.000  0.158  0.500
Pd  0.000  0.500  0.500
Pd  0.000  0.842  0.500
Pd  0.500  0.000  0.500
Pd  0.500  0.342  0.500
Pd  0.500  0.658  0.500
Au  0.000  0.326  0.000
Au  0.000  0.674  0.000
Au  0.500  0.174  0.000
Au  0.500  0.826  0.000

Largest 10 diffraction maxima, low angle first, 10 to 90 degrees two-theta:
| 2θ (°) | I/Imax | h k l |
| --- | --- | --- |
| 38.05 | 100 | 1 3 1 |
| 42.09 | 19 | 2 0 0 |
| 42.87 | 17 | 0 6 0 |
| 47.57 | 13 | 0 0 2 |
| 61.63 | 12 | 2 6 0 |
| 65.36 | 10 | 2 0 2 |
| 74.23 | 14 | 3 3 1 |
| 75.32 | 12 | 1 9 1 |
| 81.38 | 11 | 2 6 2 |
| 82.13 | 11 | 1 3 3 |